Starting from a PBE-relaxed structure, the powder XRD pattern of CaSmMgNbO6 was simulated for λ = 1.5418 Å (Cu Kα).

Structural model:
```
data_CaSmMgNbO6
_cell_length_a 5.5018
_cell_length_b 5.7276
_cell_length_c 9.6052
_cell_angle_alpha 90.00
_cell_angle_beta 124.71
_cell_angle_gamma 90.00
_space_group_name_H-M_alt 'P 1 c 1'
_space_group_IT_number 7
_space_group_name_Hall 'P -2yc'
loop_
_atom_site_label
_atom_site_fract_x
_atom_site_fract_y
_atom_site_fract_z
Ca1 0.0000 0.1978 0.0000
Sm1 0.5309 0.3118 0.5041
Mg1 0.7649 0.2468 0.2516
Nb1 0.2646 0.2455 0.7522
O1 0.0125 0.4620 0.1960
O2 0.1259 0.2133 0.5064
O3 0.4115 0.2871 0.9962
O4 0.5064 0.0486 0.3083
O5 0.6051 0.4463 0.7998
O6 0.9100 0.0589 0.6985
```

Main lines, by angle (10 to 90 degrees two-theta):
| d (Å) | Rel. int. |
| --- | --- |
| 4.636 | 381 |
| 4.513 | 390 |
| 2.864 | 209 |
| 2.799 | 1000 |
| 2.751 | 239 |
| 2.369 | 181 |
| 1.984 | 237 |
| 1.974 | 159 |
| 1.758 | 126 |
| 1.600 | 190 |